(1)
Starting from a crystal structure in the Materials Project, relaxed with GGA-PBE, the powder diffraction line list of Ca2H2S2O9 was calculated for Cu Kα, 1.54184 Å.
Lines closer than 0.1° are merged.

Top 10 peaks for 2θ = 10–90°, by intensity:
index	2θ (°)	intensity
2 0 0	29.26	100
0 1 4	31.50	98
1 0 0	14.51	96
3 -1 4	48.61	64
1 1 0	25.27	42
0 3 4	53.32	30
1 2 2	41.60	19
1 2 8	71.66	16
0 2 2	32.49	12
5 -3 4	73.84	11

Atomic structure:
```
data_Ca2H2S2O9
_chemical_formula_sum 'Ca6 H6 S6 O27'
_cell_length_a 7.0479
_cell_length_b 7.0479
_cell_length_c 12.8327
_cell_angle_alpha 90.00
_cell_angle_beta 90.00
_cell_angle_gamma 120.00
_symmetry_space_group_name_H-M 'P 31'
_symmetry_Int_Tables_number 144
loop_
_symmetry_equiv_pos_as_xyz
'x,y,z'
'-y,x-y,z+1/3'
'-x+y,-x,z+2/3'
loop_
_atom_site_label
_atom_site_fract_x
_atom_site_fract_y
_atom_site_fract_z
Ca1 0.0028 0.5209 0.0000
Ca2 0.0078 0.5533 0.4963
H1 0.0232 0.0952 0.1273
H2 0.0312 0.1437 0.7349
S1 0.0025 0.5384 0.2459
S2 0.4519 0.4443 0.0819
O1 0.0355 0.9147 0.4674
O2 0.1238 0.7354 0.6765
O3 0.1308 0.4814 0.3197
O4 0.1383 0.5241 0.8248
O5 0.1481 0.7287 0.1792
O6 0.4094 0.2493 0.1445
O7 0.4144 0.2711 0.6443
O8 0.4716 0.1237 0.3485
O9 0.4810 0.1286 0.8399
```

=====

(2)
Starting from a crystal structure in the Materials Project, relaxed with GGA-PBE, the powder diffraction line list of Cd4SiSe3S3 was calculated for Cu Kα, 1.54184 Å.
Lines closer than 0.1° are merged.

Top 10 peaks for 2θ = 10–90°, by intensity:
index	2θ (°)	intensity
3 1 -2	25.30	100
2 2 -2	29.78	99
4 0 -2	28.35	65
2 0 2	24.09	59
0 0 6	44.88	53
3 1 2	33.03	52
0 2 1	25.43	49
3 3 -3	45.40	44
6 0 -4	45.12	42
0 0 4	29.49	37

Atomic structure:
```
data_Cd4SiSe3S3
_chemical_formula_sum 'Cd16 Si4 Se12 S12'
_cell_length_a 12.7516
_cell_length_b 7.3172
_cell_length_c 12.8564
_cell_angle_alpha 90.00
_cell_angle_beta 109.53
_cell_angle_gamma 90.00
_symmetry_space_group_name_H-M 'C 1 c 1'
_symmetry_Int_Tables_number 9
loop_
_symmetry_equiv_pos_as_xyz
'x,y,z'
'x,-y,z+1/2'
'x+1/2,y+1/2,z'
'x+1/2,-y+1/2,z+1/2'
loop_
_atom_site_label
_atom_site_fract_x
_atom_site_fract_y
_atom_site_fract_z
Cd1 0.0000 0.0714 0.0000
Cd2 0.1383 0.3025 0.3506
Cd3 0.3215 0.3797 0.6954
Cd4 0.3515 0.1004 0.0047
Si1 0.0735 0.2378 0.7572
Se1 0.1481 0.0158 0.2073
Se2 0.1476 0.2801 0.9437
Se3 0.3844 0.2571 0.2064
S1 0.1192 0.4735 0.6830
S2 0.3272 0.2487 0.5096
S3 0.4527 0.2720 0.8873
```

=====

(3)
Starting from a crystal structure in the Materials Project, relaxed with GGA-PBE, the powder diffraction line list of LiB11 was calculated for Cu Kα, 1.54184 Å.
Lines closer than 0.1° are merged.

Top 10 peaks for 2θ = 10–90°, by intensity:
index	2θ (°)	intensity
2 1 3	56.74	100
2 0 2	45.92	76
1 1 0	27.94	73
1 0 1	22.49	58
2 1 1	46.31	35
0 0 2	21.75	22
3 2 1	77.03	22
2 0 4	61.17	21
0 0 6	68.93	19
3 0 1	62.77	18

Atomic structure:
```
data_LiB11
_chemical_formula_sum 'Li2 B22'
_cell_length_a 4.5157
_cell_length_b 4.5157
_cell_length_c 8.1735
_cell_angle_alpha 90.00
_cell_angle_beta 90.00
_cell_angle_gamma 90.00
_symmetry_space_group_name_H-M 'I -4 m 2'
_symmetry_Int_Tables_number 119
_symmetry_space_group_name_Hall 'I -4 -2'
loop_
_atom_site_label
_atom_site_fract_x
_atom_site_fract_y
_atom_site_fract_z
Li1 0.0000 0.0000 0.0000
B1 0.0000 0.2503 0.5804
B2 0.0000 0.5000 0.0901
B3 0.0000 0.5000 0.7500
B4 0.1987 0.3013 0.2500
```